# 1
CePm2Pr6Ho: theoretical X-ray diffraction stick pattern (Cu Kα, 1.54184 Å), based on a DFT-relaxed cell (PBE, Alexandria).
Neutral-atom scattering factors, no anomalous dispersion.

Most intense lines, 2θ from 10° to 90°, by angle:
29.9°, intensity 51.6, hkl 2 2 0; 30.2°, intensity 100.0, hkl 2 2 -1; 30.9°, intensity 38.4, hkl 0 0 3; 31.2°, intensity 56.9, hkl 4 0 -1; 32.5°, intensity 37.3, hkl 1 1 -3; 32.6°, intensity 37.9, hkl 0 2 2

Structure:
```
data_CePm2Pr6Ho
_chemical_formula_sum 'Ce2 Pm4 Pr12 Ho2'
_space_group_name_H-M_alt 'C 1 2/m 1'
_space_group_IT_number 12
_cell_length_a 11.498
_cell_length_b 7.097
_cell_length_c 8.984
_cell_angle_alpha 90.00
_cell_angle_beta 104.90
_cell_angle_gamma 90.00
loop_
_space_group_symop_operation_xyz
'x,y,z'
'-x,-y,-z'
'-x,y,-z'
'x,-y,z'
'x+1/2,y+1/2,z'
'-x+1/2,-y+1/2,-z'
'-x+1/2,y+1/2,-z'
'x+1/2,-y+1/2,z'
loop_
_atom_site_label
_atom_site_fract_x
_atom_site_fract_y
_atom_site_fract_z
Ce1 0.000 0.000 0.000
Pm1 0.088 0.500 0.167
Pr1 0.122 0.000 0.414
Pr2 0.178 0.264 0.796
Ho1 0.000 0.500 0.500
```

=====

# 2
K3Pd3Pb5: theoretical X-ray diffraction stick pattern (Cu Kα, 1.54184 Å), based on a DFT-relaxed cell (PBE, Alexandria).
Neutral-atom scattering factors, no anomalous dispersion.

Most intense lines, 2θ from 10° to 90°, by angle:
13.9°, intensity 100.0, hkl 0 0 1; 27.9°, intensity 29.0, hkl 0 0 2; 31.7°, intensity 26.5, hkl 2 1 0; 34.8°, intensity 39.9, hkl 2 1 1; 36.1°, intensity 19.3, hkl 3 0 0; 42.8°, intensity 23.7, hkl 2 1 2

Structure:
```
data_K3Pd3Pb5
_chemical_formula_sum 'K3 Pd3 Pb5'
_space_group_name_H-M_alt 'P -6 2 m'
_space_group_IT_number 189
_space_group_name_Hall 'P -6 -2'
_cell_length_a 8.6131
_cell_length_b 8.6131
_cell_length_c 6.3856
_cell_angle_alpha 90.00
_cell_angle_beta 90.00
_cell_angle_gamma 120.00
loop_
_atom_site_label
_atom_site_fract_x
_atom_site_fract_y
_atom_site_fract_z
K1 0.0000 0.3431 0.0000
Pd1 0.0000 0.3711 0.5000
Pb1 0.0000 0.7548 0.5000
Pb2 0.3333 0.6667 0.5000
```

=====

# 3
Rb2TaAuS4: theoretical X-ray diffraction stick pattern (Cu Kα, 1.54184 Å), based on a DFT-relaxed cell (PBE, Alexandria).
Neutral-atom scattering factors, no anomalous dispersion.

Most intense lines, 2θ from 10° to 90°, by angle:
14.7°, intensity 100.0, hkl 0 0 4; 25.5°, intensity 64.7, hkl 0 2 6; 33.2°, intensity 23.9, hkl 2 2 0; 38.0°, intensity 22.6, hkl 2 0 6; 45.0°, intensity 22.8, hkl 0 6 6; 52.5°, intensity 18.1, hkl 0 8 0

Structure:
```
data_Rb2TaAuS4
_chemical_formula_sum 'Rb16 Ta8 Au8 S32'
_space_group_name_H-M_alt 'F d d d'
_space_group_IT_number 70
_cell_length_a 5.854
_cell_length_b 13.951
_cell_length_c 24.198
_cell_angle_alpha 90.00
_cell_angle_beta 90.00
_cell_angle_gamma 90.00
loop_
_space_group_symop_operation_xyz
'x,y,z'
'-x,-y,-z'
'-x+1/4,-y+1/4,z'
'x+1/4,y+1/4,-z'
'x,-y+1/4,-z+1/4'
'-x,y+1/4,z+1/4'
'-x+1/4,y,-z+1/4'
'x+1/4,-y,z+1/4'
'x,y+1/2,z+1/2'
'-x,-y+1/2,-z+1/2'
'-x+1/4,-y+3/4,z+1/2'
'x+1/4,y+3/4,-z+1/2'
'x,-y+3/4,-z+3/4'
'-x,y+3/4,z+3/4'
'-x+1/4,y+1/2,-z+3/4'
'x+1/4,-y+1/2,z+3/4'
'x+1/2,y,z+1/2'
'-x+1/2,-y,-z+1/2'
'-x+3/4,-y+1/4,z+1/2'
'x+3/4,y+1/4,-z+1/2'
'x+1/2,-y+1/4,-z+3/4'
'-x+1/2,y+1/4,z+3/4'
'-x+3/4,y,-z+3/4'
'x+3/4,-y,z+3/4'
'x+1/2,y+1/2,z'
'-x+1/2,-y+1/2,-z'
'-x+3/4,-y+3/4,z'
'x+3/4,y+3/4,-z'
'x+1/2,-y+3/4,-z+1/4'
'-x+1/2,y+3/4,z+1/4'
'-x+3/4,y+1/2,-z+1/4'
'x+3/4,-y+1/2,z+1/4'
loop_
_atom_site_label
_atom_site_fract_x
_atom_site_fract_y
_atom_site_fract_z
Rb1 0.125 0.125 0.302
Ta1 0.125 0.125 0.625
Au1 0.125 0.125 0.125
S1 0.094 0.276 0.820
```

=====

# 4
Rb2BeBCl6: theoretical X-ray diffraction stick pattern (Cu Kα, 1.54184 Å), based on a DFT-relaxed cell (PBE, Alexandria).
Neutral-atom scattering factors, no anomalous dispersion.

Most intense lines, 2θ from 10° to 90°, by angle:
23.5°, intensity 18.3, hkl 2 0 0; 25.0°, intensity 39.2, hkl 1 1 2; 30.1°, intensity 100.0, hkl 2 0 2; 33.5°, intensity 45.9, hkl 2 2 0; 37.6°, intensity 20.4, hkl 0 0 4; 54.2°, intensity 24.0, hkl 4 2 0

Structure:
```
data_Rb2BeBCl6
_chemical_formula_sum 'Rb4 Be2 B2 Cl12'
_space_group_name_H-M_alt 'I 4/m m m'
_space_group_IT_number 139
_space_group_name_Hall '-I 4 2'
_cell_length_a 7.572
_cell_length_b 7.572
_cell_length_c 9.563
_cell_angle_alpha 90.00
_cell_angle_beta 90.00
_cell_angle_gamma 90.00
loop_
_atom_site_label
_atom_site_fract_x
_atom_site_fract_y
_atom_site_fract_z
Rb1 0.000 0.500 0.250
Be1 0.000 0.000 0.000
B1 0.000 0.000 0.500
Cl1 0.000 0.000 0.324
Cl2 0.201 0.201 0.000
```

=====

# 5
K6Na14Tl18Zn: theoretical X-ray diffraction stick pattern (Cu Kα, 1.54184 Å), based on a DFT-relaxed cell (PBE, Alexandria).
Neutral-atom scattering factors, no anomalous dispersion.

Most intense lines, 2θ from 10° to 90°, by angle:
11.7°, intensity 100.0, hkl 1 1 0; 30.0°, intensity 41.3, hkl 3 2 0; 31.2°, intensity 35.0, hkl 3 2 1; 33.4°, intensity 35.4, hkl 4 0 0; 34.5°, intensity 99.8, hkl 3 2 2; 37.5°, intensity 30.4, hkl 4 0 2

Structure:
```
data_K6Na14Tl18Zn
_chemical_formula_sum 'K6 Na14 Tl18 Zn1'
_space_group_name_H-M_alt 'P m -3'
_space_group_IT_number 200
_space_group_name_Hall '-P 2 2 3'
_cell_length_a 10.730
_cell_length_b 10.730
_cell_length_c 10.730
_cell_angle_alpha 90.00
_cell_angle_beta 90.00
_cell_angle_gamma 90.00
loop_
_atom_site_label
_atom_site_fract_x
_atom_site_fract_y
_atom_site_fract_z
K1 0.000 0.189 0.500
Na1 0.000 0.500 0.332
Na2 0.281 0.281 0.281
Tl1 0.000 0.254 0.154
Tl2 0.276 0.500 0.500
Zn1 0.000 0.000 0.000
```

=====

# 6
ReRh3W: theoretical X-ray diffraction stick pattern (Cu Kα, 1.54184 Å), based on a DFT-relaxed cell (PBE, Alexandria).
Neutral-atom scattering factors, no anomalous dispersion.

Most intense lines, 2θ from 10° to 90°, by angle:
32.9°, intensity 36.1, hkl 1 3 1; 37.2°, intensity 43.5, hkl 0 0 2; 42.7°, intensity 100.0, hkl 2 2 1; 43.3°, intensity 42.4, hkl 1 5 1; 46.6°, intensity 66.6, hkl 1 3 2; 71.6°, intensity 40.0, hkl 3 3 2

Structure:
```
data_ReRh3W
_chemical_formula_sum 'Re4 Rh12 W4'
_space_group_name_H-M_alt 'C m c m'
_space_group_IT_number 63
_space_group_name_Hall '-C 2c 2'
_cell_length_a 5.056
_cell_length_b 13.052
_cell_length_c 4.835
_cell_angle_alpha 90.00
_cell_angle_beta 90.00
_cell_angle_gamma 90.00
loop_
_atom_site_label
_atom_site_fract_x
_atom_site_fract_y
_atom_site_fract_z
Re1 0.000 0.043 0.250
Rh1 0.000 0.500 0.000
Rh2 0.245 0.151 0.750
W1 0.000 0.319 0.750
```

=====

# 7
Ca3Mo5: theoretical X-ray diffraction stick pattern (Cu Kα, 1.54184 Å), based on a DFT-relaxed cell (PBE, Alexandria).
Neutral-atom scattering factors, no anomalous dispersion.

Most intense lines, 2θ from 10° to 90°, by angle:
11.7°, intensity 85.4, hkl 0 1 0; 11.9°, intensity 100.0, hkl 0 1 -1; 34.4°, intensity 40.6, hkl 0 2 2; 35.5°, intensity 44.9, hkl 0 3 0; 36.4°, intensity 43.4, hkl 1 0 3; 37.5°, intensity 49.7, hkl 2 0 -1

Structure:
```
data_Ca3Mo5
_chemical_formula_sum 'Ca6 Mo10'
_space_group_name_H-M_alt 'P 1'
_space_group_IT_number 1
_cell_length_a 4.795
_cell_length_b 8.091
_cell_length_c 10.868
_cell_angle_alpha 109.83
_cell_angle_beta 101.41
_cell_angle_gamma 91.06
loop_
_space_group_symop_operation_xyz
'x,y,z'
loop_
_atom_site_label
_atom_site_fract_x
_atom_site_fract_y
_atom_site_fract_z
Ca1 0.000 0.000 0.000
Ca2 0.030 0.531 0.049
Ca3 0.391 0.620 0.785
Ca4 0.431 0.193 0.838
Ca5 0.650 0.650 0.300
Ca6 0.832 0.859 0.649
Mo1 0.123 0.937 0.268
Mo2 0.228 0.571 0.466
Mo3 0.255 0.265 0.533
Mo4 0.266 0.941 0.507
Mo5 0.398 0.262 0.274
Mo6 0.571 0.929 0.161
Mo7 0.702 0.062 0.430
Mo8 0.750 0.458 0.522
Mo9 0.861 0.263 0.665
Mo10 0.905 0.265 0.281
```

=====

# 8
FeGeHPd2: theoretical X-ray diffraction stick pattern (Cu Kα, 1.54184 Å), based on a DFT-relaxed cell (PBE, Alexandria).
Neutral-atom scattering factors, no anomalous dispersion.

Most intense lines, 2θ from 10° to 90°, by angle:
39.8°, intensity 100.0, hkl 1 1 1; 45.4°, intensity 17.2, hkl 0 0 2; 46.7°, intensity 31.7, hkl 2 0 0; 67.1°, intensity 20.5, hkl 2 0 2; 80.1°, intensity 12.2, hkl 1 1 3; 81.9°, intensity 23.1, hkl 3 1 1

Structure:
```
data_FeGeHPd2
_chemical_formula_sum 'Fe1 Ge1 H1 Pd2'
_space_group_name_H-M_alt 'P 4/m m m'
_space_group_IT_number 123
_space_group_name_Hall '-P 4 2'
_cell_length_a 3.894
_cell_length_b 3.894
_cell_length_c 3.994
_cell_angle_alpha 90.00
_cell_angle_beta 90.00
_cell_angle_gamma 90.00
loop_
_atom_site_label
_atom_site_fract_x
_atom_site_fract_y
_atom_site_fract_z
Fe1 0.000 0.000 0.000
Ge1 0.500 0.500 0.000
H1 0.000 0.000 0.500
Pd1 0.000 0.500 0.500
```

=====

# 9
Pr2Nd4C: theoretical X-ray diffraction stick pattern (Cu Kα, 1.54184 Å), based on a DFT-relaxed cell (PBE, Alexandria).
Neutral-atom scattering factors, no anomalous dispersion.

Most intense lines, 2θ from 10° to 90°, by angle:
28.0°, intensity 37.6, hkl 0 1 2; 28.5°, intensity 66.7, hkl 0 0 18; 30.6°, intensity 100.0, hkl 0 1 8; 32.1°, intensity 97.2, hkl 1 0 10; 49.2°, intensity 41.3, hkl 1 1 0; 57.8°, intensity 45.3, hkl 1 1 18

Structure:
```
data_Pr2Nd4C
_chemical_formula_sum 'Pr6 Nd12 C3'
_space_group_name_H-M_alt 'R -3 m'
_space_group_IT_number 166
_space_group_name_Hall '-R 3 2"'
_cell_length_a 3.7031
_cell_length_b 3.7031
_cell_length_c 56.3968
_cell_angle_alpha 90.00
_cell_angle_beta 90.00
_cell_angle_gamma 120.00
loop_
_atom_site_label
_atom_site_fract_x
_atom_site_fract_y
_atom_site_fract_z
Pr1 0.0000 0.0000 0.2453
Nd1 0.0000 0.0000 0.1394
Nd2 0.0000 0.0000 0.3586
C1 0.0000 0.0000 0.0000
```

=====

# 10
Pa2P3Ru5: theoretical X-ray diffraction stick pattern (Cu Kα, 1.54184 Å), based on a DFT-relaxed cell (PBE, Alexandria).
Neutral-atom scattering factors, no anomalous dispersion.

Most intense lines, 2θ from 10° to 90°, by angle:
37.0°, intensity 100.0, hkl 1 3 2; 37.2°, intensity 62.9, hkl 1 7 1; 40.4°, intensity 30.0, hkl 0 10 1; 40.9°, intensity 33.5, hkl 1 9 0; 44.8°, intensity 32.9, hkl 2 0 0; 61.9°, intensity 27.7, hkl 2 10 1

Structure:
```
data_Pa2P3Ru5
_chemical_formula_sum 'Pa8 P12 Ru20'
_space_group_name_H-M_alt 'C m c 21'
_space_group_IT_number 36
_cell_length_a 4.044
_cell_length_b 23.735
_cell_length_c 6.598
_cell_angle_alpha 90.00
_cell_angle_beta 90.00
_cell_angle_gamma 90.00
loop_
_space_group_symop_operation_xyz
'x,y,z'
'-x,-y,z+1/2'
'-x,y,z'
'x,-y,z+1/2'
'x+1/2,y+1/2,z'
'-x+1/2,-y+1/2,z+1/2'
'-x+1/2,y+1/2,z'
'x+1/2,-y+1/2,z+1/2'
loop_
_atom_site_label
_atom_site_fract_x
_atom_site_fract_y
_atom_site_fract_z
Pa1 0.000 0.019 0.000
Pa2 0.000 0.326 0.016
P1 0.000 0.111 0.767
P2 0.000 0.268 0.524
P3 0.000 0.450 0.785
Ru1 0.000 0.100 0.344
Ru2 0.000 0.208 0.233
Ru3 0.000 0.209 0.820
Ru4 0.000 0.368 0.534
Ru5 0.000 0.443 0.153
```

=====

# 11
Al2Cd2InPt5: theoretical X-ray diffraction stick pattern (Cu Kα, 1.54184 Å), based on a DFT-relaxed cell (PBE, Alexandria).
Neutral-atom scattering factors, no anomalous dispersion.

Most intense lines, 2θ from 10° to 90°, by angle:
23.1°, intensity 28.4, hkl 0 0 1; 31.4°, intensity 39.0, hkl 2 1 1; 38.1°, intensity 100.0, hkl 3 1 1; 39.4°, intensity 46.1, hkl 4 1 0; 41.7°, intensity 36.1, hkl 3 2 1; 47.1°, intensity 27.2, hkl 0 0 2

Structure:
```
data_Al2Cd2InPt5
_chemical_formula_sum 'Al4 Cd4 In2 Pt10'
_space_group_name_H-M_alt 'P 4/m b m'
_space_group_IT_number 127
_space_group_name_Hall '-P 4 2ab'
_cell_length_a 9.438
_cell_length_b 9.438
_cell_length_c 3.857
_cell_angle_alpha 90.00
_cell_angle_beta 90.00
_cell_angle_gamma 90.00
loop_
_atom_site_label
_atom_site_fract_x
_atom_site_fract_y
_atom_site_fract_z
Al1 0.125 0.375 0.000
Cd1 0.173 0.673 0.000
In1 0.000 0.000 0.000
Pt1 0.000 0.500 0.500
Pt2 0.077 0.204 0.500
```

=====

# 12
NiPdPt4: theoretical X-ray diffraction stick pattern (Cu Kα, 1.54184 Å), based on a DFT-relaxed cell (PBE, Alexandria).
Neutral-atom scattering factors, no anomalous dispersion.

Most intense lines, 2θ from 10° to 90°, by angle:
40.0°, intensity 100.0, hkl 1 0 3; 46.4°, intensity 34.3, hkl 1 1 0; 46.6°, intensity 14.1, hkl 0 0 6; 67.7°, intensity 11.1, hkl 2 0 0; 67.9°, intensity 18.3, hkl 1 1 6; 81.7°, intensity 25.6, hkl 2 1 3

Structure:
```
data_NiPdPt4
_chemical_formula_sum 'Ni1 Pd1 Pt4'
_space_group_name_H-M_alt 'P 4/m m m'
_space_group_IT_number 123
_space_group_name_Hall '-P 4 2'
_cell_length_a 2.766
_cell_length_b 2.766
_cell_length_c 11.683
_cell_angle_alpha 90.00
_cell_angle_beta 90.00
_cell_angle_gamma 90.00
loop_
_atom_site_label
_atom_site_fract_x
_atom_site_fract_y
_atom_site_fract_z
Ni1 0.000 0.000 0.000
Pd1 0.500 0.500 0.500
Pt1 0.000 0.000 0.326
Pt2 0.500 0.500 0.150
```